Starting from a cell relaxed with GGA+U, the powder diffractogram of FeBi3Mo2O12 was calculated for Cu Kα (λ = 1.5418 Å).
Lines closer than 0.1° are merged.

Cell and atoms:
```
data_FeBi3Mo2O12
_chemical_formula_sum 'Fe4 Bi12 Mo8 O48'
_cell_length_a 17.138
_cell_length_b 11.834
_cell_length_c 5.348
_cell_angle_alpha 90.00
_cell_angle_beta 107.61
_cell_angle_gamma 90.00
_space_group_name_H-M_alt 'C 1 2/c 1'
_space_group_IT_number 15
_space_group_name_Hall '-C 2yc'
loop_
_atom_site_label
_atom_site_type_symbol
_atom_site_fract_x
_atom_site_fract_y
_atom_site_fract_z
Fe1 Fe 0.000 0.118 0.250
Bi1 Bi 0.000 0.344 0.750
Bi2 Bi 0.152 0.112 0.910
Mo1 Mo 0.168 0.372 0.424
O1 O 0.050 0.203 0.029
O2 O 0.088 0.042 0.508
O3 O 0.090 0.452 0.197
O4 O 0.116 0.291 0.623
O5 O 0.217 0.288 0.237
O6 O 0.247 0.458 0.642
```

Main lines, by angle (2θ from 10° to 80°):
2theta	I/Imax	index
17.93	17	3 1 0
18.20	20	1 1 -1
27.72	99	2 2 1
27.92	100	4 2 -1
30.21	28	0 4 0
32.90	21	6 0 0
33.52	23	2 0 -2
45.27	23	6 4 0
45.74	26	2 4 -2
47.42	15	4 0 2
56.34	13	0 2 3
56.67	16	6 2 -3



Starting from a cell relaxed with GGA+U, the powder diffractogram of K4MoO5 was calculated for Cu Kα (λ = 1.5418 Å).
Lines closer than 0.1° are merged.

Cell and atoms:
```
data_K4MoO5
_chemical_formula_sum 'K24 Mo6 O30'
_cell_length_a 6.358
_cell_length_b 10.341
_cell_length_c 17.133
_cell_angle_alpha 94.29
_cell_angle_beta 92.56
_cell_angle_gamma 96.13
_space_group_name_H-M_alt 'P -1'
_space_group_IT_number 2
_space_group_name_Hall '-P 1'
loop_
_atom_site_label
_atom_site_type_symbol
_atom_site_fract_x
_atom_site_fract_y
_atom_site_fract_z
K1 K 0.009 0.011 0.179
K2 K 0.058 0.580 0.416
K3 K 0.076 0.192 0.004
K4 K 0.076 0.351 0.219
K5 K 0.231 0.538 0.058
K6 K 0.246 0.955 0.429
K7 K 0.267 0.404 0.853
K8 K 0.278 0.114 0.654
K9 K 0.433 0.910 0.095
K10 K 0.446 0.499 0.680
K11 K 0.450 0.163 0.290
K12 K 0.458 0.297 0.496
Mo1 Mo 0.063 0.774 0.592
Mo2 Mo 0.218 0.734 0.249
Mo3 Mo 0.400 0.743 0.903
O1 O 0.038 0.881 0.683
O2 O 0.048 0.307 0.712
O3 O 0.071 0.183 0.499
O4 O 0.086 0.761 0.146
O5 O 0.140 0.635 0.924
O6 O 0.184 0.339 0.381
O7 O 0.215 0.628 0.582
O8 O 0.273 0.896 0.927
O9 O 0.325 0.883 0.573
O10 O 0.340 0.159 0.124
O11 O 0.344 0.595 0.206
O12 O 0.352 0.905 0.253
O13 O 0.361 0.718 0.351
O14 O 0.373 0.661 0.802
O15 O 0.458 0.320 0.012
```

Main lines, by angle (2θ from 10° to 80°):
2theta	I/Imax	index
15.22	26	1 0 1
17.27	100	0 2 0
18.44	33	0 1 3
18.80	30	-1 1 2
29.08	61	1 0 -5
29.29	65	2 -1 1
29.40	59	0 3 -3
29.54	48	1 2 3
30.69	91	-1 3 2
35.37	71	1 -1 6
35.72	74	2 2 -2
47.52	35	2 -4 4